Starting from a crystal structure in the Materials Project, relaxed with GGA-PBE, the powder diffractogram of ZnS was simulated for CuKα.

Structure:
abc: 56.3920 56.3920 56.3920
angles: 3.94 3.94 3.94
Fractional coordinates of all 36 atoms:
Zn 0.0000 0.0000 0.0000
Zn 0.0370 0.0370 0.0370
Zn 0.0926 0.0926 0.0926
Zn 0.1296 0.1296 0.1296
Zn 0.1852 0.1852 0.1852
Zn 0.2222 0.2222 0.2222
Zn 0.2778 0.2778 0.2778
Zn 0.3148 0.3148 0.3148
Zn 0.3889 0.3889 0.3889
Zn 0.4445 0.4445 0.4445
Zn 0.5000 0.5000 0.5000
Zn 0.5741 0.5741 0.5741
Zn 0.6296 0.6296 0.6296
Zn 0.6852 0.6852 0.6852
Zn 0.7407 0.7407 0.7407
Zn 0.8148 0.8148 0.8148
Zn 0.8704 0.8704 0.8704
Zn 0.9259 0.9259 0.9259
S 0.0232 0.0232 0.0232
S 0.0787 0.0787 0.0787
S 0.1158 0.1158 0.1158
S 0.1713 0.1713 0.1713
S 0.2084 0.2084 0.2084
S 0.2639 0.2639 0.2639
S 0.3010 0.3010 0.3010
S 0.3750 0.3750 0.3750
S 0.4306 0.4306 0.4306
S 0.4861 0.4861 0.4861
S 0.5602 0.5602 0.5602
S 0.6157 0.6157 0.6157
S 0.6713 0.6713 0.6713
S 0.7269 0.7269 0.7269
S 0.8010 0.8010 0.8010
S 0.8565 0.8565 0.8565
S 0.9121 0.9121 0.9121
S 0.9861 0.9861 0.9861

The 12 most intense peaks (15° ≤ 2θ ≤ 90°), by angle:
2θ (°)	Rel. int.
27.2	18
27.9	46
28.1	60
28.5	82
28.6	24
29.0	34
46.3	17
46.8	23
46.9	100
49.1	17
55.8	67
87.1	23